# 1
Ac5La2Sm3: calculated powder diffractogram (CuKα), based on a cell relaxed with GGA-PBE.

Peak list (10 most intense, 2θ = 5–70°, by angle)
- 2θ 28.55, rel. 100
- 2θ 32.64, rel. 18
- 2θ 32.86, rel. 17
- 2θ 33.73, rel. 16
- 2θ 47.00, rel. 13
- 2θ 47.65, rel. 13
- 2θ 47.80, rel. 12
- 2θ 55.77, rel. 16
- 2θ 56.05, rel. 16
- 2θ 57.19, rel. 15

Cell and atoms:
a = 6.576 Å, b = 6.576 Å, c = 12.122 Å
α = 91.10°, β = 91.10°, γ = 49.31°
Fractional coordinates of all 10 atoms:
Ac: 0.000 0.000 0.000
Ac: 0.200 0.200 0.600
Ac: 0.399 0.399 0.199
Ac: 0.601 0.601 0.801
Ac: 0.800 0.800 0.400
La: 0.100 0.100 0.300
La: 0.900 0.900 0.700
Sm: 0.299 0.299 0.901
Sm: 0.500 0.500 0.500
Sm: 0.701 0.701 0.099

---

# 2
SrPm6Sm8: calculated powder diffractogram (CuKα), based on a cell relaxed with GGA-PBE.

Peak list (10 most intense, 2θ = 5–70°, by angle)
- 2θ 29.03, rel. 31
- 2θ 29.21, rel. 100
- 2θ 31.30, rel. 13
- 2θ 33.80, rel. 72
- 2θ 34.33, rel. 14
- 2θ 48.44, rel. 20
- 2θ 48.67, rel. 19
- 2θ 57.68, rel. 14
- 2θ 57.80, rel. 14
- 2θ 60.58, rel. 10

Cell and atoms:
a = 8.397 Å, b = 8.397 Å, c = 8.397 Å
α = 72.23°, β = 72.23°, γ = 72.23°
Fractional coordinates of all 15 atoms:
Sr: 0.000 0.000 0.000
Pm: 0.171 0.431 0.619
Pm: 0.381 0.829 0.569
Pm: 0.431 0.619 0.171
Pm: 0.569 0.381 0.829
Pm: 0.619 0.171 0.431
Pm: 0.829 0.569 0.381
Sm: 0.054 0.860 0.385
Sm: 0.140 0.615 0.946
Sm: 0.234 0.234 0.234
Sm: 0.385 0.054 0.860
Sm: 0.615 0.946 0.140
Sm: 0.766 0.766 0.766
Sm: 0.860 0.385 0.054
Sm: 0.946 0.140 0.615

---

# 3
Tb2Ho2Tm2In: calculated powder diffractogram (CuKα), based on a cell relaxed with GGA-PBE.

Peak list (10 most intense, 2θ = 5–70°, by angle)
- 2θ 26.73, rel. 19
- 2θ 29.06, rel. 24
- 2θ 31.06, rel. 50
- 2θ 31.58, rel. 64
- 2θ 33.53, rel. 100
- 2θ 35.25, rel. 70
- 2θ 35.73, rel. 24
- 2θ 53.68, rel. 23
- 2θ 56.36, rel. 19
- 2θ 61.85, rel. 23

Cell and atoms:
a = 6.076 Å, b = 6.076 Å, c = 11.397 Å
α = 111.97°, β = 111.97°, γ = 33.58°
Fractional coordinates of all 7 atoms:
Tb: 0.032 0.032 0.254
Tb: 0.968 0.968 0.746
Ho: 0.175 0.175 0.585
Ho: 0.825 0.825 0.415
Tm: 0.251 0.251 0.132
Tm: 0.749 0.749 0.868
In: 0.500 0.500 0.000

---

# 4
Li3SiPt2: calculated powder diffractogram (CuKα), based on a cell relaxed with GGA-PBE.

Peak list (10 most intense, 2θ = 5–70°, by angle)
- 2θ 19.35, rel. 100
- 2θ 22.58, rel. 86
- 2θ 22.80, rel. 68
- 2θ 23.58, rel. 99
- 2θ 30.85, rel. 25
- 2θ 37.95, rel. 34
- 2θ 41.01, rel. 52
- 2θ 41.15, rel. 32
- 2θ 41.27, rel. 63
- 2θ 45.17, rel. 49

Cell and atoms:
a = 5.418 Å, b = 5.418 Å, c = 7.547 Å
α = 90.34°, β = 90.34°, γ = 122.16°
Fractional coordinates of all 12 atoms:
Li: 0.008 0.722 0.106
Li: 0.160 0.840 0.750
Li: 0.278 0.992 0.394
Li: 0.722 0.008 0.606
Li: 0.840 0.160 0.250
Li: 0.992 0.278 0.894
Si: 0.478 0.522 0.250
Si: 0.522 0.478 0.750
Pt: 0.233 0.486 0.513
Pt: 0.486 0.233 0.013
Pt: 0.514 0.767 0.987
Pt: 0.767 0.514 0.487

---

# 5
HfTiFe2: calculated powder diffractogram (CuKα), based on a cell relaxed with GGA-PBE.

Peak list (8 most intense, 2θ = 5–70°, by angle)
- 2θ 25.31, rel. 35
- 2θ 29.31, rel. 12
- 2θ 41.93, rel. 100
- 2θ 49.62, rel. 18
- 2θ 51.98, rel. 4
- 2θ 60.80, rel. 16
- 2θ 66.93, rel. 8
- 2θ 68.91, rel. 5

Cell and atoms:
a = 4.309 Å, b = 4.309 Å, c = 4.309 Å
α = 60.00°, β = 60.00°, γ = 60.00°
Fractional coordinates of all 4 atoms:
Hf: 0.000 0.000 0.000
Ti: 0.500 0.500 0.500
Fe: 0.250 0.250 0.250
Fe: 0.750 0.750 0.750

---

# 6
Nd2DyTl2: calculated powder diffractogram (CuKα), based on a cell relaxed with GGA-PBE.

Peak list (10 most intense, 2θ = 5–70°, by angle)
- 2θ 31.11, rel. 25
- 2θ 32.54, rel. 100
- 2θ 32.75, rel. 25
- 2θ 45.79, rel. 18
- 2θ 47.55, rel. 9
- 2θ 56.26, rel. 16
- 2θ 57.92, rel. 9
- 2θ 58.32, rel. 19
- 2θ 58.93, rel. 10
- 2θ 68.15, rel. 11

Cell and atoms:
a = 3.824 Å, b = 5.469 Å, c = 14.502 Å
α = 90.00°, β = 97.60°, γ = 90.00°
Fractional coordinates of all 10 atoms:
Nd: 0.048 0.250 0.096
Nd: 0.239 0.250 0.476
Nd: 0.761 0.750 0.524
Nd: 0.952 0.750 0.904
Dy: 0.148 0.750 0.297
Dy: 0.852 0.250 0.703
Tl: 0.356 0.750 0.711
Tl: 0.448 0.250 0.896
Tl: 0.552 0.750 0.104
Tl: 0.644 0.250 0.289

---

# 7
Pm8CoSi3Cl4: calculated powder diffractogram (CuKα), based on a cell relaxed with GGA-PBE.

Peak list (10 most intense, 2θ = 5–70°, by angle)
- 2θ 12.70, rel. 6
- 2θ 25.56, rel. 15
- 2θ 26.09, rel. 52
- 2θ 30.06, rel. 100
- 2θ 42.70, rel. 32
- 2θ 43.37, rel. 37
- 2θ 51.02, rel. 14
- 2θ 51.31, rel. 8
- 2θ 53.67, rel. 18
- 2θ 62.49, rel. 10

Cell and atoms:
a = 8.347 Å, b = 8.347 Å, c = 8.473 Å
α = 119.51°, β = 119.51°, γ = 59.98°
Fractional coordinates of all 16 atoms:
Pm: 0.230 0.755 0.716
Pm: 0.231 0.231 0.717
Pm: 0.245 0.770 0.284
Pm: 0.257 0.257 0.272
Pm: 0.743 0.743 0.728
Pm: 0.755 0.230 0.716
Pm: 0.769 0.769 0.283
Pm: 0.770 0.245 0.284
Co: 0.000 0.000 0.500
Si: 0.000 0.500 0.500
Si: 0.500 0.000 0.500
Si: 0.500 0.500 0.500
Cl: 0.000 0.000 0.000
Cl: 0.000 0.500 0.000
Cl: 0.500 0.000 0.000
Cl: 0.500 0.500 0.000

---

# 8
NaAcCuSn2: calculated powder diffractogram (CuKα), based on a cell relaxed with GGA-PBE.

Peak list (10 most intense, 2θ = 5–70°, by angle)
- 2θ 24.02, rel. 48
- 2θ 26.76, rel. 27
- 2θ 29.71, rel. 21
- 2θ 30.89, rel. 25
- 2θ 32.83, rel. 100
- 2θ 33.51, rel. 13
- 2θ 41.32, rel. 32
- 2θ 51.24, rel. 23
- 2θ 56.18, rel. 22
- 2θ 68.83, rel. 14

Cell and atoms:
a = 5.790 Å, b = 6.983 Å, c = 6.663 Å
α = 90.00°, β = 90.00°, γ = 90.00°
Fractional coordinates of all 10 atoms:
Na: 0.250 0.000 0.125
Na: 0.750 0.000 0.875
Ac: 0.250 0.500 0.254
Ac: 0.750 0.500 0.746
Cu: 0.000 0.000 0.500
Cu: 0.500 0.000 0.500
Sn: 0.250 0.237 0.725
Sn: 0.250 0.763 0.725
Sn: 0.750 0.237 0.275
Sn: 0.750 0.763 0.275